Calculated powder diffractogram of Ga2CoO4 for Cu Kα, from a structure optimized by DFT (GGA+U).
Lines closer than 0.1° are merged.

Crystal structure
```
Ga2CoO4
1.0
0.0000 4.2268 4.2268
4.2268 0.0000 4.2268
4.2268 4.2268 0.0000
Ga Co O
4 2 8
direct
0.0000 0.0000 0.0000 Ga
0.0000 0.0000 0.5000 Ga
0.0000 0.5000 0.0000 Ga
0.5000 0.0000 0.0000 Ga
0.3750 0.3750 0.3750 Co
0.6250 0.6250 0.6250 Co
0.2151 0.7616 0.7616 O
0.2384 0.2384 0.2384 O
0.2384 0.2384 0.7849 O
0.2384 0.7849 0.2384 O
0.7616 0.2151 0.7616 O
0.7616 0.7616 0.2151 O
0.7616 0.7616 0.7616 O
0.7849 0.2384 0.2384 O
```

Peak list (12 most intense, 10 to 90 degrees two-theta, sorted by position)
2θ/deg  I (rel.)
18.18  18
29.90  24
35.21  100
36.83  15
42.79  23
53.07  8
56.57  37
62.11  45
73.45  11
74.45  9
86.07  4
88.93  18